[1]
Diffraction record for K2Mn2MoO6. The XRD peak list is calculated, not measured: it uses a structure optimized by DFT (PBE+U) and Cu Kα X-rays.
Lines closer than 0.1° are merged.

a b c (Å): 5.433 9.048 6.480
angles (deg): 90.00 107.02 90.00
Space group C2/m (No. 12)
One atom of each set of equivalent atoms:
K: 0.000 0.171 0.000
Mn: 0.000 0.335 0.500
Mo: 0.000 0.000 0.500
O: 0.211 0.500 0.665
O: 0.222 0.169 0.667

Top 8 peaks for 2θ from 10° to 90°, by intensity:
- hkl 0 0 1, d 6.196, 2θ 14.29, I 100
- hkl 1 3 1, d 2.287, 2θ 39.40, I 61
- hkl 2 0 -2, d 2.359, 2θ 38.14, I 34
- hkl 0 0 2, d 3.098, 2θ 28.82, I 32
- hkl 1 3 -1, d 2.541, 2θ 35.32, I 24
- hkl 1 3 -3, d 1.749, 2θ 52.30, I 18
- hkl 3 3 -1, d 1.553, 2θ 59.54, I 17
- hkl 1 1 0, d 4.506, 2θ 19.70, I 17


[2]
Diffraction record for K4MnMo4O15. The XRD peak list is calculated, not measured: it uses a structure optimized by DFT (PBE+U) and Cu Kα X-rays.
Lines closer than 0.1° are merged.

a b c (Å): 10.5604 10.5604 8.3737
angles (deg): 90.00 90.00 120.00
Space group P-3 (No. 147)
One atom of each set of equivalent atoms:
K: 0.0000 0.0000 0.0000
K: 0.0000 0.0000 0.5000
K: 0.0892 0.3952 0.3587
Mn: 0.3333 0.6667 0.0327
Mo: 0.0170 0.3418 0.8603
Mo: 0.3333 0.6667 0.6425
O: 0.0063 0.2174 0.7097
O: 0.0169 0.2755 0.0535
O: 0.1427 0.6365 0.1601
O: 0.1774 0.6574 0.5499
O: 0.1869 0.5204 0.8374

Top 8 peaks for 2θ from 10° to 90°, by intensity:
- hkl 1 1 2, d 3.281, 2θ 27.18, I 100
- hkl 3 0 0, d 3.049, 2θ 29.30, I 90
- hkl 2 -1 1, d 4.466, 2θ 19.88, I 64
- hkl 0 0 1, d 8.374, 2θ 10.56, I 28
- hkl 3 -2 2, d 2.666, 2θ 33.62, I 24
- hkl 2 0 2, d 3.088, 2θ 28.91, I 23
- hkl 4 1 2, d 1.802, 2θ 50.67, I 22
- hkl 4 1 3, d 1.623, 2θ 56.70, I 20